GdDy6: computed powder X-ray diffraction pattern (copper Kα), based on a structure optimized by DFT (GGA-PBE).

Atomic structure:
```
data_GdDy6
_chemical_formula_sum 'Gd2 Dy12'
_symmetry_space_group_name_H-M 'P 1'
_symmetry_Int_Tables_number 1
_symmetry_space_group_name_Hall 'P 1'
_cell_length_a 8.0618
_cell_length_b 8.0618
_cell_length_c 8.0618
_cell_angle_alpha 90.00
_cell_angle_beta 90.00
_cell_angle_gamma 90.00
loop_
_atom_site_label
_atom_site_type_symbol
_atom_site_fract_x
_atom_site_fract_y
_atom_site_fract_z
Gd1 Gd 0.0000 0.0000 0.0000
Gd2 Gd 0.5000 0.5000 0.5000
Dy1 Dy 0.0000 0.2500 0.5000
Dy2 Dy 0.0000 0.5000 0.2500
Dy3 Dy 0.0000 0.5000 0.7500
Dy4 Dy 0.0000 0.7500 0.5000
Dy5 Dy 0.2500 0.0000 0.5000
Dy6 Dy 0.2500 0.5000 0.0000
Dy7 Dy 0.5000 0.0000 0.2500
Dy8 Dy 0.5000 0.0000 0.7500
Dy9 Dy 0.5000 0.2500 0.0000
Dy10 Dy 0.5000 0.7500 0.0000
Dy11 Dy 0.7500 0.0000 0.5000
Dy12 Dy 0.7500 0.5000 0.0000
```

Peak list (10 most intense, 2θ = 15–90°, by angle)
15.5°, intensity 22.4, hkl 1 1 0
22.1°, intensity 41.5, hkl 2 0 0
27.1°, intensity 100.0, hkl 2 1 1
38.7°, intensity 37.4, hkl 2 2 2
41.9°, intensity 62.4, hkl 3 2 1
45.0°, intensity 35.2, hkl 4 0 0
50.6°, intensity 18.1, hkl 4 2 0
63.2°, intensity 18.6, hkl 5 2 1
65.5°, intensity 23.0, hkl 4 4 0
72.2°, intensity 18.8, hkl 6 1 1